Sr2YTlV2O7: simulated powder XRD pattern (CuKα), based on a DFT-relaxed cell (GGA+U, Alexandria).

Cell lengths 3.7678, 4.0482, 13.0412 Å; angles 90.00, 90.00, 90.00 degrees
Fractional positions:
Sr: 0.0000 0.0000 0.1844
Sr: 0.0000 0.0000 0.8156
Y: 0.0000 0.0000 0.5000
Tl: 0.5000 0.5000 0.0000
V: 0.5000 0.5000 0.3514
V: 0.5000 0.5000 0.6486
O: 0.0000 0.0000 0.0000
O: 0.0000 0.5000 0.3982
O: 0.0000 0.5000 0.6018
O: 0.5000 0.0000 0.3852
O: 0.5000 0.0000 0.6148
O: 0.5000 0.5000 0.2062
O: 0.5000 0.5000 0.7938

The 10 most intense peaks (15° ≤ 2θ ≤ 90°), in order of rising 2θ:
2θ = 30.17°, rel. 100.0, (0 1 3)
2θ = 31.42°, rel. 95.4, (1 0 3)
2θ = 32.46°, rel. 99.1, (1 1 0)
2θ = 33.20°, rel. 24.1, (1 1 1)
2θ = 42.95°, rel. 23.8, (1 1 4)
2θ = 44.78°, rel. 30.1, (0 2 0)
2θ = 48.31°, rel. 24.0, (2 0 0)
2θ = 53.69°, rel. 47.6, (1 1 6)
2θ = 55.71°, rel. 41.6, (1 2 3)
2θ = 58.02°, rel. 31.7, (2 1 3)